The following is a calculated powder XRD pattern of Sr3Al2Ge2. It was derived from DFT lattice parameters and positions (GGA-PBE), using Cu Kα.

Cell and atoms:
```
Sr3Al2Ge2
1.0
-2.128 2.428 9.686
2.128 -2.428 9.686
2.128 2.428 -9.686
Sr Al Ge
3 2 2
direct
0.000 0.000 0.000
0.185 0.685 0.500
0.815 0.315 0.500
0.433 0.433 0.000
0.567 0.567 0.000
0.359 0.859 0.500
0.641 0.141 0.500
```

The 8 most intense peaks (2θ from 10° to 80°), in order of falling intensity:
two_theta	intensity
29.39	100
29.49	65
33.56	51
37.02	39
38.82	35
27.63	28
42.48	26
27.87	26